Structure and calculated powder XRD pattern of La4Tl2Br (a cell relaxed with PBE; λ = 1.5418 Å (Cu Kα)).

abc: 5.736 11.508 7.080
angles: 90.00 90.00 90.00
Space group Amm2 (No. 38)
Unique sites:
La  0.000  0.000  0.000 x2
La  0.000  0.000  0.487 x2
La  0.500  0.250  0.494 x4
Tl  0.000  0.238  0.744 x4
Br  0.500  0.000  0.243 x2

Principal peaks in the range 2θ = 10–80°, most intense first:
d (Å)	I (rel.)
2.669	100
2.868	31
2.877	30
5.745	30
2.031	22
1.615	22
1.618	21
1.507	17
3.014	13
1.334	11

=====

Structure and calculated powder XRD pattern of Pm2Nd4In (a cell relaxed with PBE; λ = 1.5418 Å (Cu Kα)).

abc: 6.439 11.026 6.623
angles: 90.00 90.26 90.00
Space group P2_1/c (No. 14)
Unique sites:
Pm  0.247  0.040  0.018 x4
Nd  0.068  0.153  0.516 x4
Nd  0.398  0.745  0.256 x4
In  0.500  0.000  0.500 x2

Principal peaks in the range 2θ = 10–80°, most intense first:
d (Å)	I (rel.)
2.839	100
2.876	67
3.090	59
2.805	57
2.796	55
3.192	50
2.534	48
3.214	45
2.594	42
2.366	29